(1)
Starting from the PBE geometry in the Materials Project, the powder X-ray diffraction pattern of LiCu2Rh4O8 was computed for Cu Kα X-rays.

Peak list (10 most intense, 2θ = 10–80°, low angle first)
- 4.939 Å, 2θ 17.96, I = 45
- 2.696 Å, 2θ 33.23, I = 26
- 2.628 Å, 2θ 34.12, I = 26
- 2.607 Å, 2θ 34.40, I = 100
- 2.566 Å, 2θ 34.97, I = 39
- 2.469 Å, 2θ 36.38, I = 27
- 2.171 Å, 2θ 41.61, I = 51
- 1.646 Å, 2θ 55.85, I = 24
- 1.571 Å, 2θ 58.79, I = 33
- 1.501 Å, 2θ 61.80, I = 36

Crystal structure
Lattice parameters (Å, degrees): 6.0033 6.0033 6.2978 118.49 118.49 60.05
Atoms (fractional coordinates):
Li (0.0000, 0.0000, 0.0000)
Cu (0.1467, 0.1467, 0.4402)
Cu (0.8533, 0.8533, 0.5598)
Rh (0.0000, 0.5000, 0.0000)
Rh (0.5000, 0.0000, 0.0000)
Rh (0.5000, 0.5000, 0.0000)
Rh (0.5000, 0.5000, 0.5000)
O (0.2580, 0.2580, 0.2398)
O (0.2586, 0.7236, 0.2402)
O (0.2662, 0.2662, 0.7992)
O (0.2764, 0.7414, 0.7598)
O (0.7236, 0.2586, 0.2402)
O (0.7338, 0.7338, 0.2008)
O (0.7414, 0.2764, 0.7598)
O (0.7420, 0.7420, 0.7602)

(2)
Starting from the PBE geometry in the Materials Project, the powder X-ray diffraction pattern of Dy4Ga16Co3 was computed for Cu Kα X-rays.

Peak list (10 most intense, 2θ = 10–80°, low angle first)
- 4.260 Å, 2θ 20.85, I = 19
- 2.793 Å, 2θ 32.05, I = 24
- 2.647 Å, 2θ 33.86, I = 58
- 2.336 Å, 2θ 38.55, I = 100
- 2.219 Å, 2θ 40.65, I = 29
- 2.130 Å, 2θ 42.44, I = 72
- 2.041 Å, 2θ 44.39, I = 18
- 1.537 Å, 2θ 60.22, I = 34
- 1.506 Å, 2θ 61.58, I = 22
- 1.266 Å, 2θ 75.04, I = 24

Crystal structure
Lattice parameters (Å, degrees): 6.0245 6.0245 11.0961 90.00 90.00 90.00
Atoms (fractional coordinates):
Dy (0.0000, 0.5000, 0.1950)
Dy (0.0000, 0.5000, 0.8050)
Dy (0.5000, 0.0000, 0.1950)
Dy (0.5000, 0.0000, 0.8050)
Ga (0.0000, 0.0000, 0.1981)
Ga (0.0000, 0.0000, 0.8019)
Ga (0.2196, 0.2196, 0.0000)
Ga (0.2196, 0.7804, 0.0000)
Ga (0.2496, 0.2496, 0.3848)
Ga (0.2496, 0.2496, 0.6152)
Ga (0.2496, 0.7504, 0.3848)
Ga (0.2496, 0.7504, 0.6152)
Ga (0.5000, 0.5000, 0.2192)
Ga (0.5000, 0.5000, 0.7808)
Ga (0.7504, 0.2496, 0.3848)
Ga (0.7504, 0.2496, 0.6152)
Ga (0.7504, 0.7504, 0.3848)
Ga (0.7504, 0.7504, 0.6152)
Ga (0.7804, 0.2196, 0.0000)
Ga (0.7804, 0.7804, 0.0000)
Co (0.0000, 0.5000, 0.5000)
Co (0.5000, 0.0000, 0.5000)
Co (0.5000, 0.5000, 0.0000)

(3)
Starting from the PBE geometry in the Materials Project, the powder X-ray diffraction pattern of Sr2Zn2As3 was computed for Cu Kα X-rays.

Peak list (10 most intense, 2θ = 10–80°, low angle first)
- 3.374 Å, 2θ 26.42, I = 58
- 2.925 Å, 2θ 30.56, I = 76
- 2.890 Å, 2θ 30.95, I = 100
- 2.642 Å, 2θ 33.93, I = 84
- 2.548 Å, 2θ 35.22, I = 72
- 2.476 Å, 2θ 36.28, I = 77
- 2.165 Å, 2θ 41.71, I = 100
- 2.083 Å, 2θ 43.43, I = 76
- 2.009 Å, 2θ 45.12, I = 43
- 1.650 Å, 2θ 55.70, I = 45

Crystal structure
Lattice parameters (Å, degrees): 8.4756 8.4756 12.0890 124.99 124.99 29.60
Atoms (fractional coordinates):
Sr (0.1061, 0.1061, 0.4500)
Sr (0.2333, 0.2333, 0.8366)
Sr (0.7667, 0.7667, 0.1634)
Sr (0.8939, 0.8939, 0.5500)
Zn (0.0886, 0.0886, 0.1510)
Zn (0.4617, 0.4617, 0.1865)
Zn (0.5383, 0.5383, 0.8135)
Zn (0.9114, 0.9114, 0.8490)
As (0.1098, 0.1098, 0.9580)
As (0.3483, 0.3483, 0.7033)
As (0.4242, 0.4242, 0.3743)
As (0.5758, 0.5758, 0.6257)
As (0.6517, 0.6517, 0.2967)
As (0.8902, 0.8902, 0.0420)

(4)
Starting from the PBE geometry in the Materials Project, the powder X-ray diffraction pattern of LuNiB4 was computed for Cu Kα X-rays.

Peak list (10 most intense, 2θ = 10–80°, low angle first)
- 4.066 Å, 2θ 21.86, I = 24
- 3.362 Å, 2θ 26.51, I = 67
- 3.172 Å, 2θ 28.14, I = 30
- 2.829 Å, 2θ 31.62, I = 87
- 2.591 Å, 2θ 34.62, I = 20
- 2.308 Å, 2θ 39.02, I = 46
- 2.165 Å, 2θ 41.72, I = 100
- 2.031 Å, 2θ 44.61, I = 23
- 1.904 Å, 2θ 47.77, I = 20
- 1.445 Å, 2θ 64.47, I = 23

Crystal structure
Lattice parameters (Å, degrees): 5.8395 11.3321 3.3624 90.00 90.00 90.00
Atoms (fractional coordinates):
Lu (0.1273, 0.1502, 0.0000)
Lu (0.3727, 0.6502, 0.0000)
Lu (0.6273, 0.3498, 0.0000)
Lu (0.8727, 0.8498, 0.0000)
Ni (0.1345, 0.4113, 0.0000)
Ni (0.3655, 0.9113, 0.0000)
Ni (0.6345, 0.0887, 0.0000)
Ni (0.8655, 0.5887, 0.0000)
B (0.0215, 0.6920, 0.5000)
B (0.1138, 0.5477, 0.5000)
B (0.1368, 0.9673, 0.5000)
B (0.2141, 0.8147, 0.5000)
B (0.2859, 0.3147, 0.5000)
B (0.3632, 0.4673, 0.5000)
B (0.3862, 0.0477, 0.5000)
B (0.4785, 0.1920, 0.5000)
B (0.5215, 0.8080, 0.5000)
B (0.6138, 0.9523, 0.5000)
B (0.6368, 0.5327, 0.5000)
B (0.7141, 0.6853, 0.5000)
B (0.7859, 0.1853, 0.5000)
B (0.8632, 0.0327, 0.5000)
B (0.8862, 0.4523, 0.5000)
B (0.9785, 0.3080, 0.5000)

(5)
Starting from the PBE geometry in the Materials Project, the powder X-ray diffraction pattern of KNb5Pb2O15 was computed for Cu Kα X-rays.

Peak list (10 most intense, 2θ = 10–80°, low angle first)
- 3.632 Å, 2θ 24.51, I = 39
- 3.259 Å, 2θ 27.37, I = 100
- 3.190 Å, 2θ 27.97, I = 39
- 3.127 Å, 2θ 28.55, I = 47
- 3.033 Å, 2θ 29.45, I = 55
- 2.963 Å, 2θ 30.17, I = 44
- 2.875 Å, 2θ 31.11, I = 97
- 2.863 Å, 2θ 31.24, I = 67
- 2.839 Å, 2θ 31.51, I = 88
- 1.984 Å, 2θ 45.74, I = 53

Crystal structure
Lattice parameters (Å, degrees): 3.9676 13.0322 13.0322 87.55 90.00 90.00
Atoms (fractional coordinates):
K (0.0000, 0.0000, 0.0000)
K (0.0000, 0.3460, 0.3460)
Nb (0.5000, 0.1093, 0.4606)
Nb (0.5000, 0.1669, 0.1669)
Nb (0.5000, 0.2593, 0.8899)
Nb (0.5000, 0.3937, 0.5996)
Nb (0.5000, 0.4606, 0.1093)
Nb (0.5000, 0.5996, 0.3937)
Nb (0.5000, 0.6763, 0.6763)
Nb (0.5000, 0.7498, 0.9643)
Nb (0.5000, 0.8899, 0.2593)
Nb (0.5000, 0.9643, 0.7498)
Pb (0.0000, 0.1903, 0.6836)
Pb (0.0000, 0.5444, 0.8935)
Pb (0.0000, 0.6836, 0.1903)
Pb (0.0000, 0.8935, 0.5444)
O (0.0000, 0.0829, 0.4666)
O (0.0000, 0.1637, 0.1637)
O (0.0000, 0.2444, 0.8652)
O (0.0000, 0.3661, 0.5925)
O (0.0000, 0.4666, 0.0829)
O (0.0000, 0.5925, 0.3661)
O (0.0000, 0.6677, 0.6677)
O (0.0000, 0.7322, 0.9545)
O (0.0000, 0.8652, 0.2444)
O (0.0000, 0.9545, 0.7322)
O (0.5000, 0.0094, 0.1684)
O (0.5000, 0.0150, 0.5949)
O (0.5000, 0.0933, 0.8059)
O (0.5000, 0.1656, 0.3205)
O (0.5000, 0.1684, 0.0094)
O (0.5000, 0.2339, 0.5233)
O (0.5000, 0.2955, 0.7290)
O (0.5000, 0.3205, 0.1656)
O (0.5000, 0.3868, 0.9465)
O (0.5000, 0.4581, 0.4581)
O (0.5000, 0.5117, 0.6704)
O (0.5000, 0.5233, 0.2339)
O (0.5000, 0.5949, 0.0150)
O (0.5000, 0.6598, 0.8227)
O (0.5000, 0.6704, 0.5117)
O (0.5000, 0.7290, 0.2955)
O (0.5000, 0.8059, 0.0933)
O (0.5000, 0.8227, 0.6598)
O (0.5000, 0.8801, 0.8801)
O (0.5000, 0.9465, 0.3868)